Structure and simulated powder diffraction line list of Nd3Tl2Rh3 (DFT lattice parameters and positions (PBE); Cu Kα (λ = 1.5418 Å)).
Kinematic intensities with the Lorentz-polarization factor, no thermal factor.

Cell and atoms:
```
data_Nd3Tl2Rh3
_cell_length_a 3.5266
_cell_length_b 5.0605
_cell_length_c 21.0871
_cell_angle_alpha 90.00
_cell_angle_beta 90.00
_cell_angle_gamma 90.00
_symmetry_space_group_name_H-M 'I m m m'
_symmetry_Int_Tables_number 71
_symmetry_space_group_name_Hall '-I 2 2'
loop_
_atom_site_label
_atom_site_fract_x
_atom_site_fract_y
_atom_site_fract_z
_atom_site_occupancy
Nd1 0.0000 0.0000 0.0000 1
Nd2 0.0000 0.5000 0.1196 1
Tl1 0.0000 0.0000 0.2253 1
Rh1 0.0000 0.0000 0.5000 1
Rh2 0.0000 0.5000 0.3869 1
```

Principal peaks in the range 15 to 90 degrees two-theta, low angle first:
index	d [Å]	2θ/deg	Rel. int.
0 1 5	3.240	27.5	8.4
0 0 8	2.636	34.0	13.2
0 2 0	2.535	35.4	100.0
0 2 8	1.825	50.0	8.9
1 3 4	1.462	63.6	14.0
2 2 0	1.447	64.4	7.9


Structure and simulated powder diffraction line list of TlAsAuCl (DFT lattice parameters and positions (PBE); Cu Kα (λ = 1.5418 Å)).
Kinematic intensities with the Lorentz-polarization factor, no thermal factor.

Cell and atoms:
```
data_TlAsAuCl
_cell_length_a 4.4710
_cell_length_b 4.4710
_cell_length_c 6.7031
_cell_angle_alpha 90.00
_cell_angle_beta 90.00
_cell_angle_gamma 120.00
_symmetry_space_group_name_H-M 'P 3 m 1'
_symmetry_Int_Tables_number 156
loop_
_symmetry_equiv_pos_as_xyz
'x,y,z'
'-y,x-y,z'
'-x+y,-x,z'
'-y,-x,z'
'-x+y,y,z'
'x,x-y,z'
loop_
_atom_site_label
_atom_site_fract_x
_atom_site_fract_y
_atom_site_fract_z
_atom_site_occupancy
Tl1 0.0000 0.0000 0.0000 1
As1 0.3333 0.6667 0.6724 1
Au1 0.6667 0.3333 0.7197 1
Cl1 0.3333 0.6667 0.3198 1
```

Principal peaks in the range 15 to 90 degrees two-theta, low angle first:
index	d [Å]	2θ/deg	Rel. int.
0 1 1	3.353	26.6	100.0
1 0 2	2.534	35.4	60.7
1 1 0	2.235	40.4	58.1
2 0 1	1.860	49.0	21.8
1 1 3	1.580	58.4	24.2
2 1 2	1.341	70.2	26.2


Copy entry 1 word for word.
Structure and simulated powder diffraction line list of Nd3Tl2Rh3 (DFT lattice parameters and positions (PBE); Cu Kα (λ = 1.5418 Å)).
Kinematic intensities with the Lorentz-polarization factor, no thermal factor.

Cell and atoms:
```
data_Nd3Tl2Rh3
_cell_length_a 3.5266
_cell_length_b 5.0605
_cell_length_c 21.0871
_cell_angle_alpha 90.00
_cell_angle_beta 90.00
_cell_angle_gamma 90.00
_symmetry_space_group_name_H-M 'I m m m'
_symmetry_Int_Tables_number 71
_symmetry_space_group_name_Hall '-I 2 2'
loop_
_atom_site_label
_atom_site_fract_x
_atom_site_fract_y
_atom_site_fract_z
_atom_site_occupancy
Nd1 0.0000 0.0000 0.0000 1
Nd2 0.0000 0.5000 0.1196 1
Tl1 0.0000 0.0000 0.2253 1
Rh1 0.0000 0.0000 0.5000 1
Rh2 0.0000 0.5000 0.3869 1
```

Principal peaks in the range 15 to 90 degrees two-theta, low angle first:
index	d [Å]	2θ/deg	Rel. int.
0 1 5	3.240	27.5	8.4
0 0 8	2.636	34.0	13.2
0 2 0	2.535	35.4	100.0
0 2 8	1.825	50.0	8.9
1 3 4	1.462	63.6	14.0
2 2 0	1.447	64.4	7.9